Structure and computed X-ray powder pattern of Nd2Al3Ga (a PBE-relaxed structure; copper Kα).
Neutral-atom scattering factors, no anomalous dispersion.

Peak list (10 most intense, 10 to 90 degrees two-theta, sorted by position)
- 22.72°, rel. 42
- 32.62°, rel. 100
- 39.86°, rel. 28
- 39.96°, rel. 14
- 47.20°, rel. 9
- 52.37°, rel. 9
- 52.48°, rel. 17
- 53.00°, rel. 9
- 63.47°, rel. 21
- 67.81°, rel. 16

Crystal structure
Lattice parameters (Å, degrees): 3.8511 4.5118 7.8417 90.00 90.00 90.00
Positions (direct):
Nd (0.0000, 0.0000, 0.0000)
Nd (0.0000, 0.5000, 0.4959)
Al (0.5000, 0.0000, 0.6623)
Al (0.5000, 0.5000, 0.1658)
Al (0.5000, 0.5000, 0.8307)
Ga (0.5000, 0.0000, 0.3327)

Structure and computed X-ray powder pattern of CsMg6Cr (a PBE-relaxed structure; copper Kα).
Neutral-atom scattering factors, no anomalous dispersion.

Peak list (10 most intense, 10 to 90 degrees two-theta, sorted by position)
- 14.64°, rel. 38
- 22.31°, rel. 27
- 22.43°, rel. 33
- 29.15°, rel. 14
- 29.52°, rel. 17
- 30.57°, rel. 16
- 33.89°, rel. 31
- 34.21°, rel. 100
- 61.24°, rel. 16
- 63.64°, rel. 11

Crystal structure
Lattice parameters (Å, degrees): 5.2439 7.0470 7.0470 59.19 90.00 90.00
Positions (direct):
Cs (0.0000, 0.0000, 0.0000)
Mg (0.0000, 0.4942, 0.4942)
Mg (0.0000, 0.5227, 0.9788)
Mg (0.0000, 0.9788, 0.5227)
Mg (0.5000, 0.3311, 0.3311)
Mg (0.5000, 0.3811, 0.8116)
Mg (0.5000, 0.8116, 0.3811)
Cr (0.5000, 0.7982, 0.7982)